Ba2Tl2Zn2Fe3O10: computed powder diffractogram (copper Kα), based on a GGA+U-relaxed structure.
Neutral-atom scattering factors, no anomalous dispersion.

Principal peaks in the range 2θ from 10° to 80°, in order of falling intensity:
- 2θ = 27.97°, d 3.190, rel. 1000
- 2θ = 31.80°, d 2.814, rel. 959
- 2θ = 31.48°, d 2.842, rel. 886
- 2θ = 31.35°, d 2.853, rel. 684
- 2θ = 45.59°, d 1.990, rel. 578
- 2θ = 28.76°, d 3.104, rel. 503
- 2θ = 29.08°, d 3.071, rel. 478
- 2θ = 35.49°, d 2.530, rel. 463

Crystal structure
```
Ba2Tl2Zn2Fe3O10
1.0
3.984 0.000 0.000
-0.035 4.019 0.000
-1.287 -1.516 17.707
Ba Tl Zn Fe O
2 2 2 3 10
Direct
0.000 0.000 0.000
0.346 0.312 0.560
0.433 0.503 0.844
0.887 0.949 0.717
0.121 0.160 0.192
0.203 0.252 0.369
0.554 0.548 0.119
0.569 0.805 0.280
0.802 0.755 0.440
0.049 0.510 0.118
0.053 0.870 0.274
0.307 0.749 0.441
0.394 0.289 0.727
0.482 0.488 0.963
0.511 0.324 0.287
0.533 0.040 0.117
0.837 0.255 0.444
0.850 0.830 0.598
0.932 0.832 0.833
```

***

Li2Cr3O6: computed powder diffractogram (copper Kα), based on a GGA+U-relaxed structure.
Neutral-atom scattering factors, no anomalous dispersion.

Principal peaks in the range 2θ from 10° to 80°, in order of falling intensity:
- 2θ = 17.56°, d 5.050, rel. 1000
- 2θ = 44.38°, d 2.041, rel. 352
- 2θ = 36.11°, d 2.487, rel. 295
- 2θ = 39.36°, d 2.289, rel. 243
- 2θ = 58.11°, d 1.587, rel. 170
- 2θ = 63.41°, d 1.467, rel. 158
- 2θ = 50.69°, d 1.801, rel. 144
- 2θ = 34.93°, d 2.569, rel. 69

Crystal structure
```
Li2Cr3O6
1.0
4.443 -2.569 0.000
4.443 2.569 0.000
0.000 0.000 10.100
Li Cr O
4 6 12
Direct
0.158 0.342 0.250
0.342 0.158 0.750
0.658 0.842 0.250
0.842 0.658 0.750
0.000 0.000 0.000
0.165 0.165 0.500
0.335 0.335 0.000
0.500 0.500 0.500
0.665 0.665 0.000
0.835 0.835 0.500
0.007 0.336 0.893
0.164 0.493 0.607
0.170 0.830 0.406
0.330 0.670 0.906
0.336 0.007 0.107
0.493 0.164 0.393
0.507 0.836 0.607
0.664 0.993 0.893
0.670 0.330 0.094
0.830 0.170 0.594
0.836 0.507 0.393
0.993 0.664 0.107
```

***

Li4Mn3F10: computed powder diffractogram (copper Kα), based on a GGA+U-relaxed structure.
Neutral-atom scattering factors, no anomalous dispersion.

Principal peaks in the range 2θ from 10° to 80°, in order of falling intensity:
- 2θ = 18.12°, d 4.895, rel. 1000
- 2θ = 23.16°, d 3.840, rel. 913
- 2θ = 23.98°, d 3.711, rel. 554
- 2θ = 44.28°, d 2.045, rel. 517
- 2θ = 29.73°, d 3.005, rel. 454
- 2θ = 27.35°, d 3.260, rel. 387
- 2θ = 26.85°, d 3.320, rel. 361
- 2θ = 41.47°, d 2.178, rel. 334

Crystal structure
```
Li4Mn3F10
1.0
5.196 0.000 0.000
1.139 5.387 0.000
2.093 2.101 7.151
Li Mn F
4 3 10
Direct
0.008 0.138 0.204
0.491 0.204 0.348
0.509 0.796 0.652
0.992 0.862 0.796
0.000 0.500 0.500
0.322 0.259 0.856
0.678 0.741 0.144
0.000 0.000 0.000
0.000 0.500 0.000
0.199 0.650 0.641
0.253 0.138 0.610
0.329 0.556 0.268
0.394 0.097 0.156
0.606 0.903 0.844
0.671 0.444 0.732
0.747 0.862 0.390
0.801 0.350 0.359
```